Cs4TeIF: calculated PXRD pattern (Cu Ka), based on DFT lattice parameters and positions (PBE).
Neutral-atom scattering factors, no anomalous dispersion.

Top 12 peaks for 10° ≤ 2θ ≤ 90°, most intense first:
- hkl 2 0 -2, 2θ = 22.8°, rel. 100
- hkl 0 2 2, 2θ = 27.7°, rel. 84
- hkl 1 2 0, 2θ = 24.2°, rel. 58
- hkl 2 1 -2, 2θ = 25.3°, rel. 53
- hkl 1 0 -4, 2θ = 32.6°, rel. 25
- hkl 2 4 -2, 2θ = 50.4°, rel. 23
- hkl 3 1 0, 2θ = 34.2°, rel. 22
- hkl 2 2 0, 2θ = 30.7°, rel. 22
- hkl 1 2 4, 2θ = 45.4°, rel. 17
- hkl 2 2 -4, 2θ = 41.1°, rel. 17
- hkl 3 2 -2, 2θ = 38.6°, rel. 16
- hkl 0 4 0, 2θ = 44.3°, rel. 15

Structural model:
abc: 8.7350 8.1853 10.9788
angles: 90.00 108.19 90.00
Sites, in units of the cell vectors:
1 Cs 0.0019 0.0004 0.2645
2 Cs 0.0019 0.4996 0.2645
3 Cs 0.4034 0.2500 0.5599
4 Cs 0.4261 0.2500 0.1436
5 Cs 0.5739 0.7500 0.8564
6 Cs 0.5966 0.7500 0.4401
7 Cs 0.9981 0.9996 0.7355
8 Cs 0.9981 0.5004 0.7355
9 Te 0.2320 0.7500 0.5579
10 Te 0.7680 0.2500 0.4421
11 I 0.2737 0.7500 0.0677
12 I 0.7263 0.2500 0.9323
13 F 0.2220 0.2500 0.2932
14 F 0.7780 0.7500 0.7068